[1]
This entry pairs a crystal structure of Ti2Co3Si with its calculated powder X-ray diffraction pattern. Radiation: Cu Kα X-rays. Structure: DFT lattice parameters and positions (PBE).
No peak broadening, texture or thermal motion is included.

Structural model:
```
Ti2Co3Si
1.0
4.831 0.000 0.000
-2.415 4.184 0.000
0.000 0.000 7.367
Ti Co Si
4 6 2
direct
0.333 0.667 0.058
0.333 0.667 0.442
0.667 0.333 0.558
0.667 0.333 0.942
0.171 0.342 0.750
0.171 0.829 0.750
0.342 0.171 0.250
0.658 0.829 0.750
0.829 0.171 0.250
0.829 0.658 0.250
0.000 0.000 0.000
0.000 0.000 0.500
```

Largest 8 diffraction maxima, sorted by position, 15° ≤ 2θ ≤ 90°:
2θ (°)  Rel. int.
24.2  190
42.7  547
43.3  195
44.9  717
45.1  1000
70.9  178
79.3  215
79.6  256

=====

[2]
This entry pairs a crystal structure of Mg14ZrW with its calculated powder X-ray diffraction pattern. Radiation: Cu Kα X-rays. Structure: DFT lattice parameters and positions (PBE).
No peak broadening, texture or thermal motion is included.

Structural model:
```
Mg14ZrW
1.0
6.326 0.000 0.000
-3.163 5.478 0.000
0.000 0.000 10.010
Mg Zr W
14 1 1
direct
0.000 0.000 0.245
0.000 0.000 0.755
0.014 0.507 0.260
0.014 0.507 0.740
0.332 0.166 0.500
0.340 0.170 0.000
0.493 0.507 0.260
0.493 0.507 0.740
0.493 0.986 0.260
0.493 0.986 0.740
0.830 0.170 0.000
0.830 0.660 0.000
0.834 0.166 0.500
0.834 0.668 0.500
0.333 0.667 0.000
0.333 0.667 0.500
```

Largest 8 diffraction maxima, sorted by position, 15° ≤ 2θ ≤ 90°:
2θ (°)  Rel. int.
16.2  672
24.1  461
32.7  320
33.5  212
35.9  238
37.4  1000
47.5  187
49.3  199

=====

[3]
This entry pairs a crystal structure of Al3Pt with its calculated powder X-ray diffraction pattern. Radiation: Cu Kα X-rays. Structure: DFT lattice parameters and positions (PBE).
No peak broadening, texture or thermal motion is included.

Structural model:
```
Al3Pt
1.0
-1.971 1.971 3.958
1.971 -1.971 3.958
1.971 1.971 -3.958
Al Pt
3 1
direct
0.000 0.000 0.000
0.250 0.750 0.500
0.750 0.250 0.500
0.500 0.500 0.000
```

Largest 8 diffraction maxima, sorted by position, 15° ≤ 2θ ≤ 90°:
2θ (°)  Rel. int.
22.5  330
25.2  1000
32.1  274
39.5  863
41.2  284
46.0  280
53.2  273
80.8  219

=====

[4]
This entry pairs a crystal structure of Mg6VMo with its calculated powder X-ray diffraction pattern. Radiation: Cu Kα X-rays. Structure: DFT lattice parameters and positions (PBE).
No peak broadening, texture or thermal motion is included.

Structural model:
```
Mg6VMo
1.0
4.934 0.000 0.000
0.000 2.933 5.450
0.000 -2.933 5.450
Mg V Mo
6 1 1
direct
0.000 0.000 0.000
0.000 0.020 0.510
0.000 0.499 0.499
0.000 0.510 0.020
0.500 0.352 0.851
0.500 0.851 0.352
0.500 0.851 0.851
0.500 0.354 0.354
```

Largest 8 diffraction maxima, sorted by position, 15° ≤ 2θ ≤ 90°:
2θ (°)  Rel. int.
16.3  413
18.0  272
24.3  216
34.7  390
36.4  440
37.7  693
39.4  1000
51.2  244